Calculated PXRD pattern
Compound: LiMn5O8
Radiation: Cu Kα (λ = 1.5418 Å)
Structure: the GGA+U geometry in Alexandria
Intensities are scaled so that the largest is 100.

Structural model:
```
data_LiMn5O8
_symmetry_space_group_name_H-M 'F -4 3 m'
_symmetry_Int_Tables_number 216
_symmetry_space_group_name_Hall 'F -4 2 3'
_cell_length_a 8.5807
_cell_length_b 8.5807
_cell_length_c 8.5807
_cell_angle_alpha 90.00
_cell_angle_beta 90.00
_cell_angle_gamma 90.00
loop_
_atom_site_label
_atom_site_type_symbol
_atom_site_fract_x
_atom_site_fract_y
_atom_site_fract_z
Li1 Li 0.0000 0.0000 0.0000
Mn1 Mn 0.1270 0.1270 0.3730
Mn2 Mn 0.2500 0.2500 0.7500
O1 O 0.1115 0.1115 0.6115
O2 O 0.1375 0.1375 0.1375
```

Most intense lines, 2θ = 10–90°, most intense first:
| 2theta | I_rel | h k l |
| --- | --- | --- |
| 34.67 | 100 | 3 1 1 |
| 17.90 | 66 | 1 1 1 |
| 61.09 | 53 | 4 4 0 |
| 42.12 | 48 | 4 0 0 |
| 55.66 | 41 | 5 1 1 |
| 87.28 | 16 | 5 5 3 |
| 36.27 | 15 | 2 2 2 |
| 29.44 | 14 | 2 2 0 |
| 20.70 | 13 | 2 0 0 |
| 72.19 | 10 | 5 3 3 |